Theoretical XRD peak list
Compound: TbSm14Cd
Radiation: CuKα
Structure: a cell relaxed with PBE
Neutral-atom scattering factors, no anomalous dispersion.

Structure:
Unit cell a=10.1906 b=10.1278 c=10.1310 alpha=90.00 beta=90.00 gamma=90.00
Space group Amm2 (No. 38)
One atom of each set of equivalent atoms:
Tb 0.0000 0.0000 0.0000 x2
Sm 0.0000 0.2493 0.2504 x4
Sm 0.2459 0.0000 0.7495 x4
Sm 0.2462 0.2492 0.5002 x8
Sm 0.2466 0.0000 0.2507 x4
Sm 0.5000 0.0000 0.0002 x2
Sm 0.5000 0.0000 0.5002 x2
Sm 0.5000 0.2503 0.2502 x4
Cd 0.0000 0.0000 0.5000 x2

Main lines, low angle first (10° ≤ 2θ ≤ 90°):
| (hkl) | d/Å | Rel. int. |
| --- | --- | --- |
| 2 2 2 | 2.930 | 100 |
| 4 0 0 | 2.548 | 17 |
| 0 4 0 | 2.532 | 34 |
| 4 4 0 | 1.796 | 24 |
| 0 4 4 | 1.791 | 12 |
| 6 2 2 | 1.535 | 14 |
| 2 6 2 | 1.528 | 28 |
| 4 4 4 | 1.465 | 12 |
| 6 6 2 | 1.165 | 12 |
| 2 6 6 | 1.162 | 6 |
| 4 8 0 | 1.134 | 5 |
| 0 8 4 | 1.133 | 5 |

---

Theoretical XRD peak list
Compound: Tb6SmCd5
Radiation: CuKα
Structure: a cell relaxed with PBE
Neutral-atom scattering factors, no anomalous dispersion.

Structure:
Unit cell a=5.2757 b=7.8614 c=15.9466 alpha=90.00 beta=90.00 gamma=90.00
Space group Immm (No. 71)
One atom of each set of equivalent atoms:
Tb 0.0000 0.2268 0.0000 x4
Tb 0.0000 0.2578 0.3293 x8
Sm 0.0000 0.0000 0.5000 x2
Cd 0.0000 0.0000 0.1710 x4
Cd 0.0000 0.5000 0.1544 x4
Cd 0.0000 0.5000 0.5000 x2

Main lines, low angle first (10° ≤ 2θ ≤ 90°):
| (hkl) | d/Å | Rel. int. |
| --- | --- | --- |
| 1 2 3 | 2.711 | 100 |
| 0 0 6 | 2.658 | 23 |
| 2 0 0 | 2.638 | 24 |
| 0 4 0 | 1.965 | 10 |
| 2 0 6 | 1.872 | 17 |
| 0 4 6 | 1.580 | 9 |
| 2 4 0 | 1.576 | 9 |
| 1 2 9 | 1.545 | 16 |
| 3 2 3 | 1.537 | 17 |
| 2 4 6 | 1.356 | 10 |
| 1 6 3 | 1.237 | 7 |
| 3 2 9 | 1.190 | 7 |

---

Theoretical XRD peak list
Compound: TbSmCd17
Radiation: CuKα
Structure: a cell relaxed with PBE
Neutral-atom scattering factors, no anomalous dispersion.

Structure:
Unit cell a=10.0628 b=10.0628 c=14.9993 alpha=90.00 beta=90.00 gamma=120.00
Space group R3m (No. 160, hexagonal axes)
One atom of each set of equivalent atoms:
Tb 0.0000 0.0000 0.0000 x3
Sm 0.0000 0.0000 0.3440 x3
Cd 0.0000 0.0000 0.5825 x3
Cd 0.0000 0.0000 0.7780 x3
Cd 0.0021 0.3048 0.6747 x18
Cd 0.0199 0.5100 0.5297 x9
Cd 0.0311 0.5155 0.1687 x9
Cd 0.0568 0.5284 0.8269 x9

Main lines, low angle first (10° ≤ 2θ ≤ 90°):
| (hkl) | d/Å | Rel. int. |
| --- | --- | --- |
| 3 0 0 | 2.905 | 26 |
| 0 2 4 | 2.841 | 14 |
| 0 3 3 | 2.513 | 100 |
| 0 0 6 | 2.500 | 20 |
| 2 0 5 | 2.472 | 23 |
| 2 2 3 | 2.247 | 25 |
| 1 1 6 | 2.239 | 7 |
| 3 0 6 | 1.895 | 6 |
| 3 3 0 | 1.677 | 7 |
| 6 0 0 | 1.452 | 9 |
| 0 3 9 | 1.445 | 21 |
| 5 2 3 | 1.344 | 7 |

---

Theoretical XRD peak list
Compound: Tb2Sm3Cd3
Radiation: CuKα
Structure: a cell relaxed with PBE
Neutral-atom scattering factors, no anomalous dispersion.

Structure:
Unit cell a=3.7762 b=5.4525 c=22.4104 alpha=90.00 beta=90.00 gamma=90.00
Space group Immm (No. 71)
One atom of each set of equivalent atoms:
Tb 0.0000 0.0000 0.2343 x4
Sm 0.0000 0.0000 0.0000 x2
Sm 0.0000 0.5000 0.1231 x4
Cd 0.0000 0.0000 0.5000 x2
Cd 0.0000 0.5000 0.3812 x4

Main lines, low angle first (10° ≤ 2θ ≤ 90°):
| (hkl) | d/Å | Rel. int. |
| --- | --- | --- |
| 0 0 8 | 2.801 | 23 |
| 0 2 0 | 2.726 | 27 |
| 1 1 4 | 2.715 | 100 |
| 0 2 8 | 1.954 | 16 |
| 2 0 0 | 1.888 | 9 |
| 1 1 12 | 1.600 | 13 |
| 1 3 4 | 1.572 | 19 |
| 2 0 8 | 1.566 | 8 |
| 2 2 0 | 1.552 | 9 |
| 2 2 8 | 1.358 | 11 |
| 1 3 12 | 1.231 | 6 |
| 3 1 4 | 1.198 | 8 |